[1]
Structure and simulated X-ray diffraction stick pattern of CePm2ThCo2 (a DFT-relaxed cell (GGA-PBE, Alexandria); Cu Kα (λ = 1.5418 Å)).
Peak positions follow from Bragg's law for the DFT cell and can differ from measured ones.

Largest 10 diffraction maxima, in order of rising 2θ, 2θ = 10–80°:
- 2θ = 14.3°, I 28
- 2θ = 28.9°, I 25
- 2θ = 29.3°, I 73
- 2θ = 29.4°, I 100
- 2θ = 34.2°, I 56
- 2θ = 36.3°, I 89
- 2θ = 38.9°, I 28
- 2θ = 47.0°, I 25
- 2θ = 51.5°, I 20
- 2θ = 66.1°, I 25

Cell and atoms:
Unit cell a=7.919 b=7.919 c=7.919 alpha=127.42 beta=77.30 gamma=127.74
Sites, in units of the cell vectors:
1 Ce 0.250 0.250 0.000
2 Ce 0.750 0.750 0.000
3 Pm 0.201 0.207 0.408
4 Pm 0.299 0.707 0.006
5 Pm 0.701 0.293 0.994
6 Pm 0.799 0.793 0.592
7 Th 0.250 0.750 0.500
8 Th 0.750 0.250 0.500
9 Co 0.079 0.766 0.845
10 Co 0.421 0.266 0.687
11 Co 0.579 0.734 0.313
12 Co 0.921 0.234 0.155

---

[2]
Structure and simulated X-ray diffraction stick pattern of CePm2YCo2 (a DFT-relaxed cell (GGA-PBE, Alexandria); Cu Kα (λ = 1.5418 Å)).
Peak positions follow from Bragg's law for the DFT cell and can differ from measured ones.

Largest 10 diffraction maxima, in order of rising 2θ, 2θ = 10–80°:
- 2θ = 14.6°, I 25
- 2θ = 27.8°, I 17
- 2θ = 29.5°, I 79
- 2θ = 30.0°, I 100
- 2θ = 33.6°, I 92
- 2θ = 37.4°, I 98
- 2θ = 46.5°, I 29
- 2θ = 51.5°, I 27
- 2θ = 54.6°, I 19
- 2θ = 63.3°, I 18

Cell and atoms:
Unit cell a=8.017 b=8.017 c=8.017 alpha=129.28 beta=73.65 gamma=130.43
Sites, in units of the cell vectors:
1 Ce 0.250 0.250 0.000
2 Ce 0.750 0.750 0.000
3 Pm 0.201 0.206 0.407
4 Pm 0.299 0.706 0.005
5 Pm 0.701 0.294 0.995
6 Pm 0.799 0.794 0.593
7 Y 0.250 0.750 0.500
8 Y 0.750 0.250 0.500
9 Co 0.093 0.788 0.881
10 Co 0.407 0.288 0.696
11 Co 0.593 0.712 0.304
12 Co 0.907 0.212 0.119

---

[3]
Structure and simulated X-ray diffraction stick pattern of CePr2Co2 (a DFT-relaxed cell (GGA-PBE, Alexandria); Cu Kα (λ = 1.5418 Å)).
Peak positions follow from Bragg's law for the DFT cell and can differ from measured ones.

Largest 10 diffraction maxima, in order of rising 2θ, 2θ = 10–80°:
- 2θ = 28.2°, I 26
- 2θ = 28.7°, I 28
- 2θ = 31.7°, I 100
- 2θ = 33.0°, I 51
- 2θ = 34.3°, I 75
- 2θ = 34.4°, I 32
- 2θ = 39.5°, I 36
- 2θ = 48.5°, I 28
- 2θ = 59.4°, I 28
- 2θ = 59.9°, I 28

Cell and atoms:
Unit cell a=6.866 b=6.866 c=11.527 alpha=123.19 beta=123.19 gamma=31.75
Sites, in units of the cell vectors:
1 Ce 0.137 0.137 0.344
2 Ce 0.863 0.863 0.656
3 Pr 0.148 0.148 0.680
4 Pr 0.398 0.398 0.064
5 Pr 0.602 0.602 0.936
6 Pr 0.852 0.852 0.320
7 Co 0.108 0.108 0.136
8 Co 0.432 0.432 0.569
9 Co 0.568 0.568 0.431
10 Co 0.892 0.892 0.864

---

[4]
Structure and simulated X-ray diffraction stick pattern of Ce3PrCo8 (a DFT-relaxed cell (GGA-PBE, Alexandria); Cu Kα (λ = 1.5418 Å)).
Peak positions follow from Bragg's law for the DFT cell and can differ from measured ones.

Largest 9 diffraction maxima, in order of rising 2θ, 2θ = 10–80°:
- 2θ = 21.6°, I 9
- 2θ = 35.7°, I 60
- 2θ = 42.1°, I 100
- 2θ = 44.1°, I 17
- 2θ = 56.3°, I 2
- 2θ = 64.1°, I 21
- 2θ = 68.5°, I 30
- 2θ = 75.6°, I 22
- 2θ = 79.7°, I 2

Cell and atoms:
Unit cell a=8.715 b=8.715 c=8.715 alpha=33.57 beta=33.57 gamma=33.57
Sites, in units of the cell vectors:
1 Ce 0.000 0.000 0.000
2 Ce 0.123 0.123 0.123
3 Ce 0.494 0.494 0.494
4 Pr 0.621 0.621 0.621
5 Co 0.058 0.058 0.557
6 Co 0.058 0.557 0.058
7 Co 0.061 0.560 0.560
8 Co 0.309 0.309 0.309
9 Co 0.557 0.058 0.058
10 Co 0.560 0.061 0.560
11 Co 0.560 0.560 0.061
12 Co 0.809 0.809 0.809